Theoretical powder diffraction line list
Compound: Pr2TmCo9
Radiation: CuKα
Structure: a cell relaxed with GGA-PBE
Lines closer than 0.1° are merged.

Structural model:
```
data_Pr2TmCo9
_cell_length_a 4.9895
_cell_length_b 4.9895
_cell_length_c 25.0920
_cell_angle_alpha 90.00
_cell_angle_beta 90.00
_cell_angle_gamma 120.00
_space_group_name_H-M_alt 'R -3 m'
_space_group_IT_number 166
_space_group_name_Hall '-R 3 2"'
loop_
_atom_site_label
_atom_site_fract_x
_atom_site_fract_y
_atom_site_fract_z
Pr1 0.0000 0.0000 0.1390
Tm1 0.0000 0.0000 0.0000
Co1 0.0000 0.0000 0.3329
Co2 0.0000 0.0000 0.5000
Co3 0.0037 0.5018 0.0776
```

Most intense lines, 2θ = 5–70°, by angle:
h k l  2theta  Rel. int.
1 0 7  32.5  54.0
0 1 8  35.4  47.2
1 1 0  36.0  54.2
0 2 1  42.0  41.0
1 1 6  42.2  100.0
2 1 7  62.5  16.1
1 2 8  64.3  17.0
3 0 0  64.7  19.0
2 0 14  68.0  17.0
0 3 6  69.0  21.9



Theoretical powder diffraction line list
Compound: La4SmMg5
Radiation: CuKα
Structure: a cell relaxed with GGA-PBE
Lines closer than 0.1° are merged.

Structural model:
```
data_La4SmMg5
_cell_length_a 3.9383
_cell_length_b 3.9383
_cell_length_c 19.7317
_cell_angle_alpha 90.00
_cell_angle_beta 90.00
_cell_angle_gamma 90.00
_space_group_name_H-M_alt 'P 4/m m m'
_space_group_IT_number 123
_space_group_name_Hall '-P 4 2'
loop_
_atom_site_label
_atom_site_fract_x
_atom_site_fract_y
_atom_site_fract_z
La1 0.0000 0.0000 0.1016
La2 0.0000 0.0000 0.3039
Sm1 0.0000 0.0000 0.5000
Mg1 0.5000 0.5000 0.0000
Mg2 0.5000 0.5000 0.2026
Mg3 0.5000 0.5000 0.4061
```

Most intense lines, 2θ = 5–70°, by angle:
h k l  2theta  Rel. int.
1 0 0  22.6  57.4
1 1 0  32.1  100.0
1 1 5  39.6  17.8
2 0 0  46.1  18.1
2 1 0  51.9  24.6
2 1 5  57.3  37.5
2 2 0  67.2  11.4



Theoretical powder diffraction line list
Compound: SrLa2Br
Radiation: CuKα
Structure: a cell relaxed with GGA-PBE
Lines closer than 0.1° are merged.

Structural model:
```
data_SrLa2Br
_cell_length_a 4.1097
_cell_length_b 4.7100
_cell_length_c 7.7470
_cell_angle_alpha 90.00
_cell_angle_beta 104.88
_cell_angle_gamma 90.00
_space_group_name_H-M_alt 'P 1 m 1'
_space_group_IT_number 6
loop_
_space_group_symop_operation_xyz
'x,y,z'
'x,-y,z'
loop_
_atom_site_label
_atom_site_fract_x
_atom_site_fract_y
_atom_site_fract_z
Sr1 0.0000 0.0000 0.0000
La1 0.3262 0.5000 0.6495
La2 0.7266 0.0000 0.4743
Br1 0.5405 0.5000 0.0834
```

Most intense lines, 2θ = 5–70°, by angle:
h k l  2theta  Rel. int.
0 1 1  22.3  12.6
0 0 2  23.8  30.1
1 1 -1  29.5  100.0
0 1 2  30.5  47.3
1 1 1  34.0  15.3
1 1 -2  34.2  15.6
1 0 2  37.0  12.7
0 2 0  38.2  23.5
2 0 -1  44.1  15.6
2 2 -1  59.7  14.9



Theoretical powder diffraction line list
Compound: V12P7
Radiation: CuKα
Structure: a cell relaxed with GGA-PBE
Lines closer than 0.1° are merged.

Structural model:
```
data_V12P7
_cell_length_a 9.3122
_cell_length_b 9.3122
_cell_length_c 3.2283
_cell_angle_alpha 90.00
_cell_angle_beta 90.00
_cell_angle_gamma 120.00
_space_group_name_H-M_alt 'P -6'
_space_group_IT_number 174
loop_
_space_group_symop_operation_xyz
'x,y,z'
'-x+y,-x,-z'
'-y,x-y,z'
'x,y,-z'
'-x+y,-x,z'
'-y,x-y,-z'
loop_
_atom_site_label
_atom_site_fract_x
_atom_site_fract_y
_atom_site_fract_z
V1 0.0051 0.2035 0.0000
V2 0.1326 0.6208 0.0000
V3 0.2657 0.2521 0.5000
V4 0.5032 0.1304 0.5000
P1 0.0000 0.0000 0.5000
P2 0.1583 0.4421 0.5000
P3 0.4629 0.2922 0.0000
```

Most intense lines, 2θ = 5–70°, by angle:
h k l  2theta  Rel. int.
2 2 0  38.7  17.2
1 3 0  40.3  21.8
1 2 1  40.7  100.0
3 0 1  43.8  27.3
4 0 0  45.0  4.8
2 2 1  48.2  13.9
3 2 0  49.3  4.7
1 3 1  49.6  12.3
4 1 0  52.0  22.1
0 0 2  57.1  15.7



Theoretical powder diffraction line list
Compound: Ho3Sc2In2
Radiation: CuKα
Structure: a cell relaxed with GGA-PBE
Lines closer than 0.1° are merged.

Structural model:
```
data_Ho3Sc2In2
_cell_length_a 5.2836
_cell_length_b 3.1985
_cell_length_c 10.9696
_cell_angle_alpha 90.00
_cell_angle_beta 103.93
_cell_angle_gamma 90.00
_space_group_name_H-M_alt 'P 1 2/m 1'
_space_group_IT_number 10
loop_
_space_group_symop_operation_xyz
'x,y,z'
'-x,-y,-z'
'-x,y,-z'
'x,-y,z'
loop_
_atom_site_label
_atom_site_fract_x
_atom_site_fract_y
_atom_site_fract_z
Ho1 0.0000 0.0000 0.0000
Ho2 0.2894 0.0000 0.5787
Sc1 0.4295 0.0000 0.8586
In1 0.1422 0.5000 0.2850
```

Most intense lines, 2θ = 5–70°, by angle:
h k l  2theta  Rel. int.
0 0 1  8.3  16.5
0 1 2  32.7  32.4
2 0 -1  34.0  100.0
1 1 -2  35.2  60.7
2 1 -1  44.5  16.7
2 1 1  47.8  22.3
3 0 2  60.8  12.1
3 1 -3  61.5  11.9
2 1 -6  63.2  12.7
2 2 -1  68.6  25.2



Theoretical powder diffraction line list
Compound: Mg8AgPd2
Radiation: CuKα
Structure: a cell relaxed with GGA-PBE
Lines closer than 0.1° are merged.

Structural model:
```
data_Mg8AgPd2
_cell_length_a 4.6058
_cell_length_b 6.6548
_cell_length_c 7.9478
_cell_angle_alpha 111.79
_cell_angle_beta 106.57
_cell_angle_gamma 90.05
_space_group_name_H-M_alt 'P 1'
_space_group_IT_number 1
loop_
_space_group_symop_operation_xyz
'x,y,z'
loop_
_atom_site_label
_atom_site_fract_x
_atom_site_fract_y
_atom_site_fract_z
Mg1 0.0000 0.0000 0.0000
Mg2 0.0437 0.5439 0.0898
Mg3 0.2112 0.0185 0.4216
Mg4 0.3606 0.8422 0.7211
Mg5 0.4205 0.3210 0.8420
Mg6 0.6342 0.1913 0.2673
Mg7 0.6888 0.7001 0.3785
Mg8 0.8430 0.5111 0.6869
Ag1 0.2079 0.4400 0.4149
Pd1 0.5204 0.7607 0.0420
Pd2 0.8390 0.0943 0.6789
```

Most intense lines, 2θ = 5–70°, by angle:
h k l  2theta  Rel. int.
0 1 1  22.6  58.4
1 1 -1  23.5  99.1
0 1 -2  23.8  56.2
1 0 1  27.1  31.0
1 0 -2  27.2  30.8
1 2 0  37.8  100.0
2 0 -1  39.1  53.6
1 -2 2  39.2  32.6
1 2 -3  39.4  32.3
1 3 -2  45.4  29.1



Theoretical powder diffraction line list
Compound: SrU4As5
Radiation: CuKα
Structure: a cell relaxed with GGA-PBE
Lines closer than 0.1° are merged.

Structural model:
```
data_SrU4As5
_cell_length_a 4.0969
_cell_length_b 5.8714
_cell_length_c 21.0890
_cell_angle_alpha 90.00
_cell_angle_beta 90.00
_cell_angle_gamma 90.00
_space_group_name_H-M_alt 'I m m m'
_space_group_IT_number 71
_space_group_name_Hall '-I 2 2'
loop_
_atom_site_label
_atom_site_fract_x
_atom_site_fract_y
_atom_site_fract_z
Sr1 0.0000 0.0000 0.0000
U1 0.0000 0.0000 0.2042
U2 0.0000 0.0000 0.3998
As1 0.0000 0.5000 0.0000
As2 0.0000 0.5000 0.1981
As3 0.0000 0.5000 0.3906
```

Most intense lines, 2θ = 5–70°, by angle:
h k l  2theta  Rel. int.
0 0 2  8.4  8.7
0 1 5  26.0  19.0
1 1 0  26.5  17.9
0 2 0  30.4  100.0
0 0 10  42.9  12.5
1 2 5  43.6  50.6
2 0 0  44.2  12.2
0 2 10  53.5  13.2
2 2 0  54.6  13.2
0 4 0  63.3  12.4



Theoretical powder diffraction line list
Compound: Pr7TeP5
Radiation: CuKα
Structure: a cell relaxed with GGA-PBE
Lines closer than 0.1° are merged.

Structural model:
```
data_Pr7TeP5
_cell_length_a 4.2204
_cell_length_b 13.9505
_cell_length_c 24.9866
_cell_angle_alpha 90.00
_cell_angle_beta 90.00
_cell_angle_gamma 90.00
_space_group_name_H-M_alt 'C m c m'
_space_group_IT_number 63
_space_group_name_Hall '-C 2c 2'
loop_
_atom_site_label
_atom_site_fract_x
_atom_site_fract_y
_atom_site_fract_z
Pr1 0.0000 0.0286 0.2500
Pr2 0.0000 0.1366 0.5345
Pr3 0.0000 0.3253 0.1704
Pr4 0.0000 0.4107 0.6027
Te1 0.0000 0.2974 0.7500
P1 0.0000 0.0439 0.6430
P2 0.0000 0.2274 0.0724
P3 0.0000 0.5000 0.0000
```

Most intense lines, 2θ = 5–70°, by angle:
h k l  2theta  Rel. int.
1 1 4  26.3  48.1
0 2 7  28.1  100.0
1 1 5  28.4  42.9
1 3 2  29.5  94.9
1 3 3  30.6  71.6
1 1 10  42.5  20.8
2 0 0  42.9  80.7
0 6 6  44.6  24.7
2 2 7  52.0  36.1
1 9 7  69.8  20.6